[1]
For AcUO5, a crystal structure in Alexandria, relaxed with GGA-PBE gives the computed XRD peak list in this record (Cu Kα, 1.54184 Å).

Peak list (12 most intense, 15 to 90 degrees two-theta, by angle)
two_theta  I/Imax
20.2  83.2
24.4  100.0
25.6  48.0
31.9  75.0
32.8  37.8
41.0  17.2
44.4  24.1
47.2  18.5
48.3  32.2
49.2  27.9
54.5  19.3
62.0  17.5

Atomic structure:
abc: 6.0084 6.0084 6.0084
angles: 138.29 109.17 85.71
Atoms (fractional coordinates):
1 Ac 0.0000 0.0000 0.0000
2 U 0.5000 0.5000 0.0000
3 O 0.2036 0.5000 0.7036
4 O 0.2777 0.2777 0.0000
5 O 0.5000 0.0000 0.5000
6 O 0.7223 0.7223 0.0000
7 O 0.7964 0.5000 0.2964

[2]
For Ac4U6O19, a crystal structure in Alexandria, relaxed with GGA-PBE gives the computed XRD peak list in this record (Cu Kα, 1.54184 Å).

Peak list (12 most intense, 15 to 90 degrees two-theta, by angle)
two_theta  I/Imax
21.6  51.0
28.0  100.0
30.7  23.3
33.2  63.1
44.0  19.2
45.9  44.0
49.5  21.3
54.6  25.6
56.2  18.6
62.5  19.5
80.9  13.0
82.2  15.7

Atomic structure:
abc: 8.7326 8.7326 8.7326
angles: 109.47 109.47 109.47
Atoms (fractional coordinates):
1 Ac 0.0000 0.0000 0.2944
2 Ac 0.0000 0.2944 0.0000
3 Ac 0.2944 0.0000 0.0000
4 Ac 0.7056 0.7056 0.7056
5 U 0.1707 0.5000 0.6707
6 U 0.3293 0.8293 0.5000
7 U 0.5000 0.3293 0.8293
8 U 0.5000 0.6707 0.1707
9 U 0.6707 0.1707 0.5000
10 U 0.8293 0.5000 0.3293
11 O 0.0000 0.0000 0.0000
12 O 0.0000 0.3581 0.3581
13 O 0.0000 0.6419 0.6419
14 O 0.0296 0.7503 0.3500
15 O 0.2497 0.2793 0.5997
16 O 0.2793 0.5997 0.2497
17 O 0.3204 0.7207 0.9704
18 O 0.3500 0.0296 0.7503
19 O 0.3581 0.0000 0.3581
20 O 0.3581 0.3581 0.0000
21 O 0.4003 0.6796 0.6500
22 O 0.5997 0.2497 0.2793
23 O 0.6419 0.0000 0.6419
24 O 0.6419 0.6419 0.0000
25 O 0.6500 0.4003 0.6796
26 O 0.6796 0.6500 0.4003
27 O 0.7207 0.9704 0.3204
28 O 0.7503 0.3500 0.0296
29 O 0.9704 0.3204 0.7207

[3]
For Ac4UO10, a crystal structure in Alexandria, relaxed with GGA-PBE gives the computed XRD peak list in this record (Cu Kα, 1.54184 Å).

Peak list (12 most intense, 15 to 90 degrees two-theta, by angle)
two_theta  I/Imax
26.6  100.0
30.8  12.6
30.9  24.9
44.2  50.3
52.3  16.4
52.4  32.4
54.9  11.3
70.8  13.6
71.0  6.8
73.1  10.4
81.4  11.0
87.6  8.2

Atomic structure:
abc: 7.0916 7.0916 7.0916
angles: 99.66 99.66 131.63
Atoms (fractional coordinates):
1 Ac 0.0999 0.2995 0.3995
2 Ac 0.2995 0.9001 0.1996
3 Ac 0.7005 0.0999 0.8004
4 Ac 0.9001 0.7005 0.6005
5 U 0.5000 0.5000 0.0000
6 O 0.0977 0.1844 0.7292
7 O 0.1844 0.4552 0.0867
8 O 0.2500 0.7500 0.5000
9 O 0.3685 0.0977 0.9133
10 O 0.4552 0.3685 0.2708
11 O 0.5448 0.6315 0.7292
12 O 0.6315 0.9023 0.0867
13 O 0.7500 0.2500 0.5000
14 O 0.8156 0.5448 0.9133
15 O 0.9023 0.8156 0.2708